The following is a calculated powder X-ray diffraction pattern of BaNaFe2F9. It was derived from a structure optimized by DFT (PBE+U), using Cu Kα.
Kinematic intensities with the Lorentz-polarization factor, no thermal factor.

Largest 8 diffraction maxima, most intense first, 10° ≤ 2θ ≤ 80°:
Position (°2θ), d/Å, I (rel.)
26.21, 3.400, 100
43.16, 2.096, 70
24.60, 3.619, 48
25.33, 3.517, 48
30.73, 2.910, 42
28.25, 3.159, 41
25.67, 3.470, 41
33.13, 2.704, 40

Structural model:
```
52
Lattice="5.410 0.000 0.000 0.000 17.465 0.000 -5.247 0.000 7.399" Properties=species:S:1:pos:R:3 pbc="T T T"
Ba -1.409 3.764 3.174
Ba -4.032 4.969 6.873
Ba 4.195 12.496 0.526
Ba 1.572 13.701 4.225
Na -3.913 9.441 6.012
Na -1.290 16.756 2.313
Na 1.453 0.709 5.086
Na 4.076 8.024 1.386
Fe -1.392 10.839 4.373
Fe 1.231 15.359 0.674
Fe 1.461 1.387 1.657
Fe -1.162 7.346 5.357
Fe 1.325 10.119 2.042
Fe -1.298 16.078 5.741
Fe -1.068 2.106 6.725
Fe 1.555 6.626 3.026
F 0.437 1.331 0.010
F -2.187 7.401 3.709
F 0.281 10.144 0.491
F -2.342 16.053 4.191
F -1.562 12.369 3.293
F -4.186 13.829 6.992
F -2.479 11.588 5.713
F 0.144 14.609 2.014
F -2.589 2.815 5.889
F 0.034 5.917 2.190
F -0.351 9.925 3.024
F -2.974 16.272 6.723
F -0.103 1.406 2.679
F -2.726 7.326 6.378
F 1.557 3.250 1.606
F -1.066 5.483 5.306
F -1.213 9.281 5.513
F 1.410 16.917 1.814
F -1.247 0.548 5.585
F 1.376 8.184 1.885
F 1.229 11.982 2.093
F -1.395 14.215 5.792
F 2.889 10.139 1.021
F 0.266 16.058 4.720
F 3.137 1.193 0.676
F 0.514 7.539 4.375
F 0.128 11.548 5.209
F 2.752 14.650 1.509
F 0.018 2.856 5.385
F 2.642 5.877 1.686
F 4.348 3.636 0.406
F 1.725 5.096 4.106
F 2.505 1.412 3.208
F -0.118 7.320 6.907
F 2.350 10.064 3.689
F -0.274 16.134 7.389
```



The following is a calculated powder X-ray diffraction pattern of P3W2O13. It was derived from a structure optimized by DFT (PBE+U), using Cu Kα.
Kinematic intensities with the Lorentz-polarization factor, no thermal factor.

Largest 8 diffraction maxima, most intense first, 10° ≤ 2θ ≤ 80°:
Position (°2θ), d/Å, I (rel.)
17.89, 4.958, 100
16.94, 5.234, 96
20.67, 4.297, 86
12.84, 6.894, 53
21.04, 4.222, 52
28.37, 3.146, 51
29.01, 3.078, 50
20.00, 4.439, 42

Structural model:
```
36
Lattice="6.447 0.000 0.000 1.552 6.966 0.000 0.618 1.782 12.313" Properties=species:S:1:pos:R:3 pbc="T T T"
P 1.666 3.353 4.292
P 3.756 8.424 10.810
P 3.145 5.764 3.872
P 5.472 2.984 8.442
P 4.861 0.324 1.503
P 6.951 5.395 8.022
W 1.642 1.410 1.553
W 2.204 2.481 7.619
W 6.413 6.267 4.695
W 6.975 7.338 10.760
O 2.036 6.291 4.782
O 1.798 4.615 7.966
O 2.509 7.495 10.794
O 1.554 2.076 3.399
O 1.718 2.988 0.859
O 2.153 2.510 9.720
O 2.250 2.943 5.625
O 2.269 2.145 12.194
O 3.232 6.483 2.525
O 2.777 4.227 3.515
O 3.935 7.723 7.536
O 4.455 5.707 4.634
O 4.991 7.492 10.705
O 3.626 1.256 1.608
O 4.161 3.041 7.679
O 4.682 1.025 4.778
O 5.839 4.520 8.799
O 5.385 2.265 9.789
O 6.347 6.603 0.120
O 6.366 5.804 6.688
O 6.463 6.238 2.593
O 6.899 5.760 11.454
O 7.063 6.672 8.914
O 6.107 1.253 1.520
O 6.819 4.133 4.348
O 6.581 2.456 7.531
```